(1)
Diffraction record for Sc4Sb2O. The PXRD pattern is calculated, not measured: it uses a structure optimized by DFT (GGA-PBE) and copper Kα.
Neutral-atom scattering factors, no anomalous dispersion.

Peak list (10 most intense, 10° ≤ 2θ ≤ 90°, in order of falling intensity)
37.75°, d = 2.383 Å, intensity 100
42.53°, d = 2.126 Å, intensity 61
29.72°, d = 3.006 Å, intensity 59
27.07°, d = 3.294 Å, intensity 44
31.90°, d = 2.806 Å, intensity 43
34.42°, d = 2.606 Å, intensity 33
21.66°, d = 4.102 Å, intensity 32
55.82°, d = 1.647 Å, intensity 29
74.66°, d = 1.271 Å, intensity 25
35.64°, d = 2.519 Å, intensity 21

Structural model:
a = 4.251 Å, b = 4.251 Å, c = 15.633 Å
α = 90.00°, β = 90.00°, γ = 90.00°
Fractional coordinates of all 14 atoms:
Sc 0.000 0.000 0.171
Sc 0.000 0.000 0.829
Sc 0.000 0.500 0.000
Sc 0.000 0.500 0.500
Sc 0.500 0.000 0.000
Sc 0.500 0.000 0.500
Sc 0.500 0.500 0.329
Sc 0.500 0.500 0.671
Sb 0.000 0.000 0.359
Sb 0.000 0.000 0.641
Sb 0.500 0.500 0.141
Sb 0.500 0.500 0.859
O 0.000 0.000 0.000
O 0.500 0.500 0.500

---

(2)
Diffraction record for Pm2Dy7Tm. The PXRD pattern is calculated, not measured: it uses a structure optimized by DFT (GGA-PBE) and copper Kα.
Neutral-atom scattering factors, no anomalous dispersion.

Peak list (10 most intense, 10° ≤ 2θ ≤ 90°, in order of falling intensity)
32.97°, d = 2.717 Å, intensity 100
33.34°, d = 2.687 Å, intensity 74
31.09°, d = 2.876 Å, intensity 69
30.22°, d = 2.958 Å, intensity 67
29.14°, d = 3.065 Å, intensity 44
52.21°, d = 1.752 Å, intensity 44
31.64°, d = 2.828 Å, intensity 42
39.89°, d = 2.260 Å, intensity 30
61.57°, d = 1.506 Å, intensity 26
40.61°, d = 2.221 Å, intensity 25

Structural model:
a = 14.743 Å, b = 14.743 Å, c = 3.502 Å
α = 90.00°, β = 90.00°, γ = 154.57°
Fractional coordinates of all 10 atoms:
Pm 0.208 0.792 0.000
Pm 0.792 0.208 0.000
Dy 0.000 0.000 0.000
Dy 0.157 0.352 0.000
Dy 0.315 0.685 0.500
Dy 0.352 0.157 0.000
Dy 0.648 0.843 0.000
Dy 0.685 0.315 0.500
Dy 0.843 0.648 0.000
Tm 0.500 0.500 0.500

---

(3)
Diffraction record for MgSnCl. The PXRD pattern is calculated, not measured: it uses a structure optimized by DFT (GGA-PBE) and copper Kα.
Neutral-atom scattering factors, no anomalous dispersion.

Peak list (10 most intense, 10° ≤ 2θ ≤ 90°, in order of falling intensity)
34.19°, d = 2.623 Å, intensity 100
16.20°, d = 5.472 Å, intensity 89
30.41°, d = 2.940 Å, intensity 52
21.65°, d = 4.104 Å, intensity 45
30.17°, d = 2.962 Å, intensity 40
44.92°, d = 2.018 Å, intensity 38
34.43°, d = 2.605 Å, intensity 37
29.90°, d = 2.988 Å, intensity 34
37.44°, d = 2.402 Å, intensity 34
37.22°, d = 2.416 Å, intensity 25

Structural model:
a = 16.416 Å, b = 3.460 Å, c = 5.925 Å
α = 90.00°, β = 90.00°, γ = 90.00°
Fractional coordinates of all 12 atoms:
Mg 0.000 0.000 0.000
Mg 0.000 0.500 0.500
Mg 0.500 0.000 0.224
Mg 0.500 0.500 0.724
Sn 0.353 0.000 0.888
Sn 0.353 0.500 0.388
Sn 0.647 0.000 0.888
Sn 0.647 0.500 0.388
Cl 0.095 0.000 0.334
Cl 0.095 0.500 0.834
Cl 0.905 0.000 0.334
Cl 0.905 0.500 0.834

---

(4)
Diffraction record for RbCaPb2F8. The PXRD pattern is calculated, not measured: it uses a structure optimized by DFT (GGA-PBE) and copper Kα.
Neutral-atom scattering factors, no anomalous dispersion.

Peak list (10 most intense, 10° ≤ 2θ ≤ 90°, in order of falling intensity)
26.16°, d = 3.407 Å, intensity 100
26.42°, d = 3.373 Å, intensity 99
43.53°, d = 2.079 Å, intensity 82
14.99°, d = 5.909 Å, intensity 51
51.51°, d = 1.774 Å, intensity 48
30.55°, d = 2.926 Å, intensity 34
51.98°, d = 1.759 Å, intensity 31
34.19°, d = 2.622 Å, intensity 25
43.41°, d = 2.084 Å, intensity 21
21.31°, d = 4.169 Å, intensity 21

Structural model:
a = 4.169 Å, b = 5.909 Å, c = 8.217 Å
α = 90.00°, β = 90.00°, γ = 90.00°
Fractional coordinates of all 12 atoms:
Rb 0.000 0.000 0.000
Ca 0.000 0.000 0.500
Pb 0.500 0.500 0.254
Pb 0.500 0.500 0.746
F 0.000 0.266 0.282
F 0.000 0.266 0.718
F 0.000 0.734 0.282
F 0.000 0.734 0.718
F 0.500 0.233 0.500
F 0.500 0.290 0.000
F 0.500 0.710 0.000
F 0.500 0.767 0.500

---

(5)
Diffraction record for Cd3Hg4Pb. The PXRD pattern is calculated, not measured: it uses a structure optimized by DFT (GGA-PBE) and copper Kα.
Neutral-atom scattering factors, no anomalous dispersion.

Peak list (10 most intense, 10° ≤ 2θ ≤ 90°, in order of falling intensity)
30.53°, d = 2.928 Å, intensity 100
38.10°, d = 2.362 Å, intensity 59
31.67°, d = 2.825 Å, intensity 36
37.34°, d = 2.408 Å, intensity 31
49.75°, d = 1.833 Å, intensity 21
46.55°, d = 1.951 Å, intensity 17
61.13°, d = 1.516 Å, intensity 16
70.50°, d = 1.336 Å, intensity 15
33.05°, d = 2.710 Å, intensity 14
57.40°, d = 1.605 Å, intensity 14

Structural model:
a = 3.902 Å, b = 4.816 Å, c = 11.300 Å
α = 90.00°, β = 90.00°, γ = 90.00°
Fractional coordinates of all 8 atoms:
Cd 0.000 0.000 0.000
Cd 0.000 0.500 0.189
Cd 0.500 0.000 0.491
Hg 0.000 0.000 0.737
Hg 0.000 0.500 0.449
Hg 0.500 0.000 0.228
Hg 0.500 0.500 0.968
Pb 0.500 0.500 0.690

---

(6)
Diffraction record for Li5PtO5. The PXRD pattern is calculated, not measured: it uses a structure optimized by DFT (GGA-PBE) and copper Kα.
Neutral-atom scattering factors, no anomalous dispersion.

Peak list (10 most intense, 10° ≤ 2θ ≤ 90°, in order of falling intensity)
15.93°, d = 5.565 Å, intensity 100
24.20°, d = 3.677 Å, intensity 81
20.76°, d = 4.279 Å, intensity 53
19.28°, d = 4.604 Å, intensity 46
27.32°, d = 3.265 Å, intensity 38
30.80°, d = 2.903 Å, intensity 28
28.83°, d = 3.097 Å, intensity 25
36.31°, d = 2.474 Å, intensity 18
42.24°, d = 2.139 Å, intensity 17
43.00°, d = 2.104 Å, intensity 16

Structural model:
a = 5.255 Å, b = 5.255 Å, c = 5.870 Å
α = 107.10°, β = 107.10°, γ = 44.87°
Fractional coordinates of all 11 atoms:
Li 0.000 0.000 0.000
Li 0.295 0.295 0.161
Li 0.310 0.310 0.639
Li 0.690 0.690 0.361
Li 0.705 0.705 0.839
Pt 0.000 0.000 0.500
O 0.147 0.147 0.324
O 0.157 0.157 0.823
O 0.500 0.500 0.500
O 0.843 0.843 0.177
O 0.853 0.853 0.676

---

(7)
Diffraction record for Er4Cd5Co2. The PXRD pattern is calculated, not measured: it uses a structure optimized by DFT (GGA-PBE) and copper Kα.
Neutral-atom scattering factors, no anomalous dispersion.

Peak list (10 most intense, 10° ≤ 2θ ≤ 90°, in order of falling intensity)
34.51°, d = 2.599 Å, intensity 100
33.40°, d = 2.683 Å, intensity 94
36.07°, d = 2.490 Å, intensity 78
34.62°, d = 2.591 Å, intensity 76
35.53°, d = 2.526 Å, intensity 73
32.20°, d = 2.780 Å, intensity 66
38.91°, d = 2.314 Å, intensity 65
36.52°, d = 2.460 Å, intensity 59
38.67°, d = 2.328 Å, intensity 58
51.48°, d = 1.775 Å, intensity 48

Structural model:
a = 7.603 Å, b = 3.550 Å, c = 9.281 Å
α = 90.00°, β = 94.56°, γ = 90.00°
Fractional coordinates of all 11 atoms:
Er 0.169 0.000 0.337
Er 0.209 0.000 0.943
Er 0.791 0.000 0.057
Er 0.831 0.000 0.663
Cd 0.177 0.500 0.647
Cd 0.451 0.500 0.169
Cd 0.500 0.500 0.500
Cd 0.549 0.500 0.831
Cd 0.823 0.500 0.353
Co 0.069 0.500 0.133
Co 0.931 0.500 0.867

---

(8)
Diffraction record for Eu2Ir2O7. The PXRD pattern is calculated, not measured: it uses a structure optimized by DFT (GGA-PBE) and copper Kα.
Neutral-atom scattering factors, no anomalous dispersion.

Peak list (10 most intense, 10° ≤ 2θ ≤ 90°, in order of falling intensity)
29.72°, d = 3.006 Å, intensity 100
49.51°, d = 1.841 Å, intensity 44
58.82°, d = 1.570 Å, intensity 44
34.45°, d = 2.603 Å, intensity 38
80.39°, d = 1.195 Å, intensity 18
82.93°, d = 1.164 Å, intensity 16
61.71°, d = 1.503 Å, intensity 11
72.63°, d = 1.302 Å, intensity 7
14.73°, d = 6.012 Å, intensity 2
28.43°, d = 3.140 Å, intensity 2

Structural model:
a = 7.364 Å, b = 7.364 Å, c = 7.364 Å
α = 60.00°, β = 60.00°, γ = 60.00°
Fractional coordinates of all 22 atoms:
Eu 0.000 0.000 0.000
Eu 0.000 0.000 0.500
Eu 0.000 0.500 0.000
Eu 0.500 0.000 0.000
Ir 0.000 0.500 0.500
Ir 0.500 0.000 0.500
Ir 0.500 0.500 0.000
Ir 0.500 0.500 0.500
O 0.125 0.125 0.125
O 0.172 0.172 0.578
O 0.172 0.578 0.172
O 0.172 0.578 0.578
O 0.422 0.422 0.828
O 0.422 0.828 0.422
O 0.422 0.828 0.828
O 0.578 0.172 0.172
O 0.578 0.172 0.578
O 0.578 0.578 0.172
O 0.828 0.422 0.422
O 0.828 0.422 0.828
O 0.828 0.828 0.422
O 0.875 0.875 0.875

---

(9)
Diffraction record for Cu3Te2Br2O6. The PXRD pattern is calculated, not measured: it uses a structure optimized by DFT (GGA-PBE) and copper Kα.
Neutral-atom scattering factors, no anomalous dispersion.

Peak list (10 most intense, 10° ≤ 2θ ≤ 90°, in order of falling intensity)
23.11°, d = 3.849 Å, intensity 100
28.26°, d = 3.158 Å, intensity 75
35.20°, d = 2.550 Å, intensity 54
10.46°, d = 8.456 Å, intensity 52
34.56°, d = 2.595 Å, intensity 44
36.81°, d = 2.442 Å, intensity 37
49.45°, d = 1.843 Å, intensity 26
30.78°, d = 2.905 Å, intensity 26
18.71°, d = 4.743 Å, intensity 23
44.56°, d = 2.034 Å, intensity 21

Structural model:
a = 5.766 Å, b = 5.766 Å, c = 8.599 Å
α = 98.74°, β = 98.74°, γ = 66.43°
Fractional coordinates of all 13 atoms:
Cu 0.000 0.000 0.000
Cu 0.396 0.396 0.122
Cu 0.604 0.604 0.878
Te 0.190 0.190 0.756
Te 0.810 0.810 0.244
Br 0.287 0.287 0.355
Br 0.713 0.713 0.645
O 0.101 0.712 0.122
O 0.288 0.899 0.878
O 0.370 0.370 0.882
O 0.630 0.630 0.118
O 0.712 0.101 0.122
O 0.899 0.288 0.878

---

(10)
Diffraction record for Ni4BPd. The PXRD pattern is calculated, not measured: it uses a structure optimized by DFT (GGA-PBE) and copper Kα.
Neutral-atom scattering factors, no anomalous dispersion.

Peak list (10 most intense, 10° ≤ 2θ ≤ 90°, in order of falling intensity)
46.77°, d = 1.942 Å, intensity 100
44.71°, d = 2.027 Å, intensity 75
41.50°, d = 2.176 Å, intensity 63
37.54°, d = 2.396 Å, intensity 43
57.19°, d = 1.611 Å, intensity 27
40.77°, d = 2.213 Å, intensity 18
79.48°, d = 1.206 Å, intensity 18
88.42°, d = 1.106 Å, intensity 17
75.55°, d = 1.258 Å, intensity 13
86.23°, d = 1.128 Å, intensity 11

Structural model:
a = 6.667 Å, b = 6.667 Å, c = 4.351 Å
α = 108.96°, β = 108.96°, γ = 46.62°
Fractional coordinates of all 12 atoms:
Ni 0.129 0.645 0.387
Ni 0.223 0.777 0.000
Ni 0.326 0.326 0.826
Ni 0.355 0.871 0.613
Ni 0.645 0.129 0.387
Ni 0.674 0.674 0.174
Ni 0.777 0.223 0.000
Ni 0.871 0.355 0.613
B 0.500 0.500 0.297
B 0.500 0.500 0.703
Pd 0.197 0.197 0.197
Pd 0.803 0.803 0.803

---

(11)
Diffraction record for Ce2U3Se8. The PXRD pattern is calculated, not measured: it uses a structure optimized by DFT (GGA-PBE) and copper Kα.
Neutral-atom scattering factors, no anomalous dispersion.

Peak list (10 most intense, 10° ≤ 2θ ≤ 90°, in order of falling intensity)
32.91°, d = 2.721 Å, intensity 100
26.45°, d = 3.369 Å, intensity 68
39.25°, d = 2.296 Å, intensity 62
44.80°, d = 2.023 Å, intensity 61
12.58°, d = 7.035 Å, intensity 51
33.46°, d = 2.678 Å, intensity 49
19.75°, d = 4.495 Å, intensity 48
22.23°, d = 3.999 Å, intensity 34
27.02°, d = 3.300 Å, intensity 33
43.84°, d = 2.065 Å, intensity 31

Structural model:
a = 8.491 Å, b = 8.491 Å, c = 6.962 Å
α = 106.12°, β = 106.12°, γ = 58.21°
Fractional coordinates of all 13 atoms:
Ce 0.242 0.242 0.166
Ce 0.758 0.758 0.834
U 0.245 0.755 0.500
U 0.500 0.500 0.000
U 0.755 0.245 0.500
Se 0.116 0.116 0.420
Se 0.141 0.616 0.088
Se 0.383 0.383 0.583
Se 0.384 0.859 0.912
Se 0.616 0.141 0.088
Se 0.617 0.617 0.417
Se 0.859 0.384 0.912
Se 0.884 0.884 0.580

---

(12)
Diffraction record for LaSm5Tl6. The PXRD pattern is calculated, not measured: it uses a structure optimized by DFT (GGA-PBE) and copper Kα.
Neutral-atom scattering factors, no anomalous dispersion.

Peak list (10 most intense, 10° ≤ 2θ ≤ 90°, in order of falling intensity)
32.59°, d = 2.748 Å, intensity 100
32.66°, d = 2.742 Å, intensity 50
58.13°, d = 1.587 Å, intensity 29
58.25°, d = 1.584 Å, intensity 24
46.72°, d = 1.944 Å, intensity 19
77.66°, d = 1.230 Å, intensity 12
46.93°, d = 1.936 Å, intensity 9
78.00°, d = 1.225 Å, intensity 8
68.22°, d = 1.375 Å, intensity 6
68.33°, d = 1.373 Å, intensity 6

Structural model:
a = 9.520 Å, b = 9.520 Å, c = 5.496 Å
α = 106.73°, β = 106.73°, γ = 120.22°
Fractional coordinates of all 12 atoms:
La 0.000 0.000 0.000
Sm 0.163 0.837 0.500
Sm 0.332 0.668 0.000
Sm 0.500 0.500 0.500
Sm 0.668 0.332 0.000
Sm 0.837 0.163 0.500
Tl 0.086 0.424 0.255
Tl 0.261 0.261 0.760
Tl 0.424 0.086 0.255
Tl 0.576 0.914 0.745
Tl 0.739 0.739 0.240
Tl 0.914 0.576 0.745

---

(13)
Diffraction record for Cd10Hg2Pb. The PXRD pattern is calculated, not measured: it uses a structure optimized by DFT (GGA-PBE) and copper Kα.
Neutral-atom scattering factors, no anomalous dispersion.

Peak list (10 most intense, 10° ≤ 2θ ≤ 90°, in order of falling intensity)
33.56°, d = 2.670 Å, intensity 100
35.92°, d = 2.500 Å, intensity 64
35.47°, d = 2.531 Å, intensity 41
35.21°, d = 2.549 Å, intensity 41
30.32°, d = 2.948 Å, intensity 40
38.30°, d = 2.350 Å, intensity 37
38.13°, d = 2.360 Å, intensity 33
63.06°, d = 1.474 Å, intensity 31
40.46°, d = 2.230 Å, intensity 23
58.47°, d = 1.578 Å, intensity 19

Structural model:
a = 10.002 Å, b = 7.774 Å, c = 7.717 Å
α = 80.43°, β = 50.04°, γ = 49.53°
Fractional coordinates of all 13 atoms:
Cd 0.000 0.000 0.500
Cd 0.001 0.784 0.216
Cd 0.150 0.502 0.498
Cd 0.216 0.999 0.001
Cd 0.498 0.850 0.150
Cd 0.500 0.500 0.000
Cd 0.502 0.150 0.850
Cd 0.784 0.001 0.999
Cd 0.850 0.498 0.502
Cd 0.999 0.216 0.784
Hg 0.000 0.500 0.000
Hg 0.500 0.000 0.500
Pb 0.500 0.500 0.500